Structure and simulated PXRD pattern of ThTlCdIn (a PBE-relaxed structure; Cu Kα X-rays).
Neutral-atom scattering factors, no anomalous dispersion.

Cell and atoms:
```
data_ThTlCdIn
_chemical_formula_sum 'Th1 Tl1 Cd1 In1'
_cell_length_a 4.693
_cell_length_b 4.778
_cell_length_c 4.787
_cell_angle_alpha 90.00
_cell_angle_beta 90.00
_cell_angle_gamma 90.00
_space_group_name_H-M_alt 'P m m m'
_space_group_IT_number 47
_space_group_name_Hall '-P 2 2'
loop_
_atom_site_label
_atom_site_type_symbol
_atom_site_fract_x
_atom_site_fract_y
_atom_site_fract_z
_atom_site_occupancy
Th1 Th 0.000 0.000 0.000 1
Tl1 Tl 0.500 0.500 0.000 1
Cd1 Cd 0.000 0.500 0.500 1
In1 In 0.500 0.000 0.500 1
```

Most intense lines, 10° ≤ 2θ ≤ 90°, low angle first:
two_theta	d [Å]	Rel. int.
32.6	2.744	100
37.6	2.391	34
38.4	2.346	16
54.8	1.675	23
64.7	1.440	14
64.8	1.438	14